Calculated powder XRD pattern of K5U2I12 for Cu Ka, from the PBE geometry in Alexandria.
Peak positions follow from Bragg's law for the DFT cell and can differ from measured ones.

Peak list (10 most intense, 2θ from 10° to 80°, by angle)
d [Å]  intensity  h k l
8.752  55  2 0 -1
5.274  35  0 0 2
4.966  32  4 0 -1
3.544  55  2 2 -2
3.467  100  0 2 2
3.307  25  6 0 -1
3.080  40  6 0 0
2.481  28  8 0 -2
2.301  29  0 4 0
2.065  34  6 2 2

Crystal structure
Cell: 19.916 9.203 11.365 Å, 90.00 111.87 90.00°
Space group C2/m (No. 12)
Symmetry-distinct sites (fractional):
K 0.000 0.000 0.000
K 0.176 0.500 0.294
K 0.223 0.500 0.911
U 0.000 0.252 0.500
I 0.018 0.500 0.700
I 0.024 0.000 0.695
I 0.141 0.251 0.056
I 0.160 0.258 0.559


Calculated powder XRD pattern of K2VI5 for Cu Ka, from the PBE geometry in Alexandria.
Peak positions follow from Bragg's law for the DFT cell and can differ from measured ones.

Peak list (10 most intense, 2θ from 10° to 80°, by angle)
d [Å]  intensity  h k l
7.231  42  0 0 1
6.258  51  1 1 0
4.188  37  1 1 1
3.614  50  0 2 0
3.556  44  3 1 -2
3.129  100  4 0 0
2.844  28  2 0 -3
2.809  31  1 1 2
2.781  28  2 2 -2
2.365  26  4 2 0

Crystal structure
Cell: 15.084 7.227 8.717 Å, 90.00 123.95 90.00°
Space group C2 (No. 5)
Symmetry-distinct sites (fractional):
K 0.225 0.000 0.268
V 0.000 0.992 0.500
I 0.000 0.630 0.500
I 0.025 0.154 0.795
I 0.224 0.002 0.678


Calculated powder XRD pattern of K3YI6 for Cu Ka, from the PBE geometry in Alexandria.
Peak positions follow from Bragg's law for the DFT cell and can differ from measured ones.

Peak list (10 most intense, 2θ from 10° to 80°, by angle)
d [Å]  intensity  h k l
3.811  68  2 1 -2
3.785  71  1 2 -2
3.677  72  1 0 2
3.644  100  1 0 -4
3.629  87  0 2 2
3.377  38  1 1 -4
3.343  39  1 2 1
2.837  38  1 3 -1
2.762  71  2 2 0
2.462  44  3 1 -1

Crystal structure
Cell: 8.406 9.044 14.721 Å, 90.00 124.09 90.00°
Space group P2_1/c (No. 14)
Symmetry-distinct sites (fractional):
K 0.000 0.000 0.000
K 0.209 0.091 0.746
Y 0.500 0.000 0.500
I 0.143 0.175 0.437
I 0.264 0.714 0.426
I 0.408 0.050 0.270


Calculated powder XRD pattern of K2Zn2I for Cu Ka, from the PBE geometry in Alexandria.
Peak positions follow from Bragg's law for the DFT cell and can differ from measured ones.

Peak list (10 most intense, 2θ from 10° to 80°, by angle)
d [Å]  intensity  h k l
4.512  65  1 1 0
3.394  85  1 1 2
3.190  100  2 0 0
3.024  70  1 0 3
2.256  37  2 2 0
2.195  57  2 1 3
1.961  21  1 0 5
1.879  29  3 1 2
1.671  25  2 1 5
1.573  19  3 2 3

Crystal structure
Cell: 6.381 6.381 10.303 Å, 90.00 90.00 90.00°
Space group I4/mmm (No. 139)
Symmetry-distinct sites (fractional):
K 0.000 0.500 0.250
Zn 0.000 0.000 0.124
I 0.000 0.000 0.500